For Ce2Sm4Te3N2, a DFT-relaxed cell (GGA-PBE, Alexandria) gives the theoretical powder diffraction line list in this record (Cu Kα X-rays).
Kinematic intensities with the Lorentz-polarization factor, no thermal factor.

Principal peaks in the range 2θ = 5–70°, sorted by position:
d (Å), Rel. int.
3.232, 58
2.965, 14
2.639, 100
2.360, 50
1.906, 15
1.668, 17
1.483, 15
1.410, 29

Crystal structure
```
data_Ce2Sm4Te3N2
_space_group_name_H-M_alt 'P 1'
_space_group_IT_number 1
_cell_length_a 13.358
_cell_length_b 13.358
_cell_length_c 13.358
_cell_angle_alpha 159.65
_cell_angle_beta 159.65
_cell_angle_gamma 28.93
loop_
_space_group_symop_operation_xyz
'x,y,z'
loop_
_atom_site_label
_atom_site_type_symbol
_atom_site_fract_x
_atom_site_fract_y
_atom_site_fract_z
Ce1 Ce 0.193 0.193 0.000
Ce2 Ce 0.807 0.807 0.000
Sm1 Sm 0.082 0.582 0.500
Sm2 Sm 0.418 0.918 0.500
Sm3 Sm 0.582 0.082 0.500
Sm4 Sm 0.918 0.418 0.500
Te1 Te 0.324 0.324 0.000
Te2 Te 0.500 0.500 0.000
Te3 Te 0.676 0.676 0.000
N1 N 0.108 0.108 0.000
N2 N 0.892 0.892 0.000
```

***

For MnCr2Ni9, a DFT-relaxed cell (GGA-PBE, Alexandria) gives the theoretical powder diffraction line list in this record (Cu Kα X-rays).
Kinematic intensities with the Lorentz-polarization factor, no thermal factor.

Principal peaks in the range 2θ = 5–70°, sorted by position:
d (Å), Rel. int.
3.552, 1
2.512, 1
2.051, 100
1.776, 46

Crystal structure
```
data_MnCr2Ni9
_space_group_name_H-M_alt 'P 1'
_space_group_IT_number 1
_cell_length_a 3.552
_cell_length_b 3.552
_cell_length_c 10.657
_cell_angle_alpha 90.00
_cell_angle_beta 90.00
_cell_angle_gamma 90.00
loop_
_space_group_symop_operation_xyz
'x,y,z'
loop_
_atom_site_label
_atom_site_type_symbol
_atom_site_fract_x
_atom_site_fract_y
_atom_site_fract_z
Mn1 Mn 0.000 0.000 0.000
Cr1 Cr 0.000 0.000 0.332
Cr2 Cr 0.000 0.000 0.668
Ni1 Ni 0.000 0.500 0.169
Ni2 Ni 0.000 0.500 0.500
Ni3 Ni 0.000 0.500 0.831
Ni4 Ni 0.500 0.000 0.169
Ni5 Ni 0.500 0.000 0.500
Ni6 Ni 0.500 0.000 0.831
Ni7 Ni 0.500 0.500 0.000
Ni8 Ni 0.500 0.500 0.335
Ni9 Ni 0.500 0.500 0.665
```

***

For Y3MgZn8, a DFT-relaxed cell (GGA-PBE, Alexandria) gives the theoretical powder diffraction line list in this record (Cu Kα X-rays).
Kinematic intensities with the Lorentz-polarization factor, no thermal factor.

Principal peaks in the range 2θ = 5–70°, sorted by position:
d (Å), Rel. int.
2.712, 28
2.313, 100
2.216, 30
2.210, 9
1.566, 8
1.476, 28
1.357, 13
1.355, 12

Crystal structure
```
data_Y3MgZn8
_space_group_name_H-M_alt 'P 1'
_space_group_IT_number 1
_cell_length_a 9.379
_cell_length_b 9.379
_cell_length_c 9.379
_cell_angle_alpha 33.64
_cell_angle_beta 33.64
_cell_angle_gamma 33.64
loop_
_space_group_symop_operation_xyz
'x,y,z'
loop_
_atom_site_label
_atom_site_type_symbol
_atom_site_fract_x
_atom_site_fract_y
_atom_site_fract_z
Y1 Y 0.000 0.000 0.000
Y2 Y 0.125 0.125 0.125
Y3 Y 0.507 0.507 0.507
Mg1 Mg 0.630 0.630 0.630
Zn1 Zn 0.064 0.064 0.567
Zn2 Zn 0.064 0.567 0.064
Zn3 Zn 0.066 0.564 0.564
Zn4 Zn 0.315 0.315 0.315
Zn5 Zn 0.564 0.066 0.564
Zn6 Zn 0.564 0.564 0.066
Zn7 Zn 0.567 0.064 0.064
Zn8 Zn 0.815 0.815 0.815
```

***

For TaTi2PbO8, a DFT-relaxed cell (GGA-PBE, Alexandria) gives the theoretical powder diffraction line list in this record (Cu Kα X-rays).
Kinematic intensities with the Lorentz-polarization factor, no thermal factor.

Principal peaks in the range 2θ = 5–70°, sorted by position:
d (Å), Rel. int.
4.873, 100
3.655, 72
3.268, 57
2.838, 67
2.654, 51
2.436, 26
2.328, 36
2.283, 29

Crystal structure
```
data_TaTi2PbO8
_space_group_name_H-M_alt 'P 1'
_space_group_IT_number 1
_cell_length_a 4.920
_cell_length_b 4.920
_cell_length_c 6.671
_cell_angle_alpha 94.65
_cell_angle_beta 94.65
_cell_angle_gamma 83.27
loop_
_space_group_symop_operation_xyz
'x,y,z'
loop_
_atom_site_label
_atom_site_type_symbol
_atom_site_fract_x
_atom_site_fract_y
_atom_site_fract_z
Ta1 Ta 0.000 0.000 0.000
Ti1 Ti 0.444 0.444 0.268
Ti2 Ti 0.556 0.556 0.732
Pb1 Pb 0.000 0.000 0.500
O1 O 0.210 0.784 0.217
O2 O 0.216 0.790 0.783
O3 O 0.271 0.271 0.048
O4 O 0.327 0.327 0.493
O5 O 0.673 0.673 0.507
O6 O 0.729 0.729 0.952
O7 O 0.784 0.210 0.217
O8 O 0.790 0.216 0.783
```

***

For Sb4Te5I, a DFT-relaxed cell (GGA-PBE, Alexandria) gives the theoretical powder diffraction line list in this record (Cu Kα X-rays).
Kinematic intensities with the Lorentz-polarization factor, no thermal factor.

Principal peaks in the range 2θ = 5–70°, sorted by position:
d (Å), Rel. int.
4.593, 22
3.903, 24
3.794, 46
3.586, 41
3.361, 39
2.750, 41
2.621, 100
1.903, 26

Crystal structure
```
data_Sb4Te5I
_space_group_name_H-M_alt 'P 1'
_space_group_IT_number 1
_cell_length_a 8.518
_cell_length_b 10.998
_cell_length_c 8.350
_cell_angle_alpha 90.00
_cell_angle_beta 90.00
_cell_angle_gamma 90.00
loop_
_space_group_symop_operation_xyz
'x,y,z'
loop_
_atom_site_label
_atom_site_type_symbol
_atom_site_fract_x
_atom_site_fract_y
_atom_site_fract_z
Sb1 Sb 0.073 0.250 0.054
Sb2 Sb 0.250 0.523 0.471
Sb3 Sb 0.250 0.977 0.471
Sb4 Sb 0.427 0.250 0.054
Sb5 Sb 0.573 0.750 0.946
Sb6 Sb 0.750 0.023 0.529
Sb7 Sb 0.750 0.477 0.529
Sb8 Sb 0.927 0.750 0.946
Te1 Te 0.003 0.040 0.236
Te2 Te 0.003 0.460 0.236
Te3 Te 0.250 0.750 0.293
Te4 Te 0.497 0.040 0.236
Te5 Te 0.497 0.460 0.236
Te6 Te 0.503 0.540 0.764
Te7 Te 0.503 0.960 0.764
Te8 Te 0.750 0.250 0.707
Te9 Te 0.997 0.540 0.764
Te10 Te 0.997 0.960 0.764
I1 I 0.250 0.250 0.628
I2 I 0.750 0.750 0.372
```

***

For TbNd2Sm2Y4, a DFT-relaxed cell (GGA-PBE, Alexandria) gives the theoretical powder diffraction line list in this record (Cu Kα X-rays).
Kinematic intensities with the Lorentz-polarization factor, no thermal factor.

Principal peaks in the range 2θ = 5–70°, sorted by position:
d (Å), Rel. int.
3.127, 46
2.906, 49
2.838, 100
2.698, 89
1.818, 37
1.696, 21
1.607, 19
1.542, 43

Crystal structure
```
data_TbNd2Sm2Y4
_space_group_name_H-M_alt 'P 1'
_space_group_IT_number 1
_cell_length_a 9.617
_cell_length_b 9.617
_cell_length_c 9.678
_cell_angle_alpha 115.23
_cell_angle_beta 115.23
_cell_angle_gamma 21.81
loop_
_space_group_symop_operation_xyz
'x,y,z'
loop_
_atom_site_label
_atom_site_type_symbol
_atom_site_fract_x
_atom_site_fract_y
_atom_site_fract_z
Tb1 Tb 0.000 0.000 0.000
Nd1 Nd 0.335 0.335 0.000
Nd2 Nd 0.665 0.665 0.000
Sm1 Sm 0.148 0.148 0.664
Sm2 Sm 0.852 0.852 0.336
Y1 Y 0.185 0.185 0.335
Y2 Y 0.481 0.481 0.667
Y3 Y 0.519 0.519 0.333
Y4 Y 0.815 0.815 0.665
```

***

For La7Ni16, a DFT-relaxed cell (GGA-PBE, Alexandria) gives the theoretical powder diffraction line list in this record (Cu Kα X-rays).
Kinematic intensities with the Lorentz-polarization factor, no thermal factor.

Principal peaks in the range 2θ = 5–70°, sorted by position:
d (Å), Rel. int.
3.200, 26
2.713, 26
2.594, 24
2.575, 48
2.411, 30
2.209, 100
2.186, 53
2.108, 60

Crystal structure
```
data_La7Ni16
_space_group_name_H-M_alt 'P 1'
_space_group_IT_number 1
_cell_length_a 8.901
_cell_length_b 8.901
_cell_length_c 8.901
_cell_angle_alpha 131.32
_cell_angle_beta 131.32
_cell_angle_gamma 71.31
loop_
_space_group_symop_operation_xyz
'x,y,z'
loop_
_atom_site_label
_atom_site_type_symbol
_atom_site_fract_x
_atom_site_fract_y
_atom_site_fract_z
La1 La 0.000 0.000 0.000
La2 La 0.201 0.201 0.607
La3 La 0.250 0.750 0.500
La4 La 0.407 0.799 0.000
La5 La 0.593 0.593 0.393
La6 La 0.750 0.250 0.500
La7 La 0.799 0.407 0.000
Ni1 Ni 0.051 0.566 0.749
Ni2 Ni 0.067 0.067 0.763
Ni3 Ni 0.162 0.440 0.000
Ni4 Ni 0.183 0.434 0.485
Ni5 Ni 0.302 0.817 0.251
Ni6 Ni 0.304 0.304 0.237
Ni7 Ni 0.434 0.183 0.485
Ni8 Ni 0.440 0.162 0.000
Ni9 Ni 0.560 0.560 0.722
Ni10 Ni 0.566 0.051 0.749
Ni11 Ni 0.696 0.933 0.000
Ni12 Ni 0.698 0.949 0.515
Ni13 Ni 0.817 0.302 0.251
Ni14 Ni 0.838 0.838 0.278
Ni15 Ni 0.933 0.696 0.000
Ni16 Ni 0.949 0.698 0.515
```

***

For AcPrBN3, a DFT-relaxed cell (GGA-PBE, Alexandria) gives the theoretical powder diffraction line list in this record (Cu Kα X-rays).
Kinematic intensities with the Lorentz-polarization factor, no thermal factor.

Principal peaks in the range 2θ = 5–70°, sorted by position:
d (Å), Rel. int.
3.961, 91
2.906, 100
2.707, 84
2.343, 40
1.981, 39
1.824, 27
1.637, 34
1.405, 23

Crystal structure
```
data_AcPrBN3
_space_group_name_H-M_alt 'P 1'
_space_group_IT_number 1
_cell_length_a 5.812
_cell_length_b 5.812
_cell_length_c 6.421
_cell_angle_alpha 90.00
_cell_angle_beta 90.00
_cell_angle_gamma 120.00
loop_
_space_group_symop_operation_xyz
'x,y,z'
loop_
_atom_site_label
_atom_site_type_symbol
_atom_site_fract_x
_atom_site_fract_y
_atom_site_fract_z
Ac1 Ac 0.333 0.667 0.250
Ac2 Ac 0.667 0.333 0.750
Pr1 Pr 0.000 0.000 0.000
Pr2 Pr 0.000 0.000 0.500
B1 B 0.333 0.667 0.750
B2 B 0.667 0.333 0.250
N1 N 0.187 0.374 0.750
N2 N 0.187 0.813 0.750
N3 N 0.374 0.187 0.250
N4 N 0.626 0.813 0.750
N5 N 0.813 0.187 0.250
N6 N 0.813 0.626 0.250
```

***

For Li2YRu2, a DFT-relaxed cell (GGA-PBE, Alexandria) gives the theoretical powder diffraction line list in this record (Cu Kα X-rays).
Kinematic intensities with the Lorentz-polarization factor, no thermal factor.

Principal peaks in the range 2θ = 5–70°, sorted by position:
d (Å), Rel. int.
2.973, 67
2.764, 44
2.383, 100
2.350, 30
2.243, 72
2.102, 42
1.458, 27
1.424, 29

Crystal structure
```
data_Li2YRu2
_space_group_name_H-M_alt 'P 1'
_space_group_IT_number 1
_cell_length_a 6.648
_cell_length_b 6.648
_cell_length_c 3.417
_cell_angle_alpha 90.00
_cell_angle_beta 90.00
_cell_angle_gamma 90.00
loop_
_space_group_symop_operation_xyz
'x,y,z'
loop_
_atom_site_label
_atom_site_type_symbol
_atom_site_fract_x
_atom_site_fract_y
_atom_site_fract_z
Li1 Li 0.111 0.389 0.000
Li2 Li 0.389 0.889 0.000
Li3 Li 0.611 0.111 0.000
Li4 Li 0.889 0.611 0.000
Y1 Y 0.000 0.000 0.000
Y2 Y 0.500 0.500 0.000
Ru1 Ru 0.181 0.681 0.500
Ru2 Ru 0.319 0.181 0.500
Ru3 Ru 0.681 0.819 0.500
Ru4 Ru 0.819 0.319 0.500
```

***

For Ce6Mg15Hg8, a DFT-relaxed cell (GGA-PBE, Alexandria) gives the theoretical powder diffraction line list in this record (Cu Kα X-rays).
Kinematic intensities with the Lorentz-polarization factor, no thermal factor.

Principal peaks in the range 2θ = 5–70°, sorted by position:
d (Å), Rel. int.
8.252, 28
4.310, 24
4.126, 15
3.279, 32
2.751, 24
2.527, 100
1.787, 15
1.459, 30

Crystal structure
```
data_Ce6Mg15Hg8
_space_group_name_H-M_alt 'P 1'
_space_group_IT_number 1
_cell_length_a 10.107
_cell_length_b 10.107
_cell_length_c 10.107
_cell_angle_alpha 60.00
_cell_angle_beta 60.00
_cell_angle_gamma 60.00
loop_
_space_group_symop_operation_xyz
'x,y,z'
loop_
_atom_site_label
_atom_site_type_symbol
_atom_site_fract_x
_atom_site_fract_y
_atom_site_fract_z
Ce1 Ce 0.226 0.226 0.774
Ce2 Ce 0.226 0.774 0.226
Ce3 Ce 0.226 0.774 0.774
Ce4 Ce 0.774 0.226 0.226
Ce5 Ce 0.774 0.226 0.774
Ce6 Ce 0.774 0.774 0.226
Mg1 Mg 0.000 0.000 0.500
Mg2 Mg 0.000 0.500 0.000
Mg3 Mg 0.000 0.500 0.500
Mg4 Mg 0.167 0.167 0.167
Mg5 Mg 0.167 0.167 0.500
Mg6 Mg 0.167 0.500 0.167
Mg7 Mg 0.500 0.000 0.000
Mg8 Mg 0.500 0.000 0.500
Mg9 Mg 0.500 0.167 0.167
Mg10 Mg 0.500 0.500 0.000
Mg11 Mg 0.500 0.500 0.500
Mg12 Mg 0.500 0.833 0.833
Mg13 Mg 0.833 0.500 0.833
Mg14 Mg 0.833 0.833 0.500
Mg15 Mg 0.833 0.833 0.833
Hg1 Hg 0.119 0.627 0.627
Hg2 Hg 0.373 0.373 0.373
Hg3 Hg 0.373 0.373 0.881
Hg4 Hg 0.373 0.881 0.373
Hg5 Hg 0.627 0.119 0.627
Hg6 Hg 0.627 0.627 0.119
Hg7 Hg 0.627 0.627 0.627
Hg8 Hg 0.881 0.373 0.373
```

***

For Ac3Ho2Hg3, a DFT-relaxed cell (GGA-PBE, Alexandria) gives the theoretical powder diffraction line list in this record (Cu Kα X-rays).
Kinematic intensities with the Lorentz-polarization factor, no thermal factor.

Principal peaks in the range 2θ = 5–70°, sorted by position:
d (Å), Rel. int.
2.919, 24
2.841, 26
2.830, 100
2.036, 18
1.668, 16
1.638, 20
1.617, 10
1.415, 11

Crystal structure
```
data_Ac3Ho2Hg3
_space_group_name_H-M_alt 'P 1'
_space_group_IT_number 1
_cell_length_a 12.178
_cell_length_b 12.178
_cell_length_c 12.178
_cell_angle_alpha 161.41
_cell_angle_beta 153.02
_cell_angle_gamma 32.97
loop_
_space_group_symop_operation_xyz
'x,y,z'
loop_
_atom_site_label
_atom_site_type_symbol
_atom_site_fract_x
_atom_site_fract_y
_atom_site_fract_z
Ac1 Ac 0.000 0.000 0.000
Ac2 Ac 0.376 0.876 0.500
Ac3 Ac 0.624 0.124 0.500
Ho1 Ho 0.234 0.234 0.000
Ho2 Ho 0.766 0.766 0.000
Hg1 Hg 0.131 0.631 0.500
Hg2 Hg 0.500 0.500 0.000
Hg3 Hg 0.869 0.369 0.500
```

***

For Ba2Zr6BCl17, a DFT-relaxed cell (GGA-PBE, Alexandria) gives the theoretical powder diffraction line list in this record (Cu Kα X-rays).
Kinematic intensities with the Lorentz-polarization factor, no thermal factor.

Principal peaks in the range 2θ = 5–70°, sorted by position:
d (Å), Rel. int.
7.673, 100
5.972, 71
3.836, 48
2.671, 58
2.563, 39
2.503, 44
2.355, 42
1.826, 34

Crystal structure
```
data_Ba2Zr6BCl17
_space_group_name_H-M_alt 'P 1'
_space_group_IT_number 1
_cell_length_a 9.818
_cell_length_b 9.818
_cell_length_c 9.818
_cell_angle_alpha 105.07
_cell_angle_beta 105.07
_cell_angle_gamma 118.69
loop_
_space_group_symop_operation_xyz
'x,y,z'
loop_
_atom_site_label
_atom_site_type_symbol
_atom_site_fract_x
_atom_site_fract_y
_atom_site_fract_z
Ba1 Ba 0.250 0.750 0.500
Ba2 Ba 0.750 0.250 0.500
Zr1 Zr 0.059 0.184 0.243
Zr2 Zr 0.184 0.941 0.125
Zr3 Zr 0.233 0.233 0.000
Zr4 Zr 0.767 0.767 0.000
Zr5 Zr 0.816 0.059 0.875
Zr6 Zr 0.941 0.816 0.757
B1 B 0.000 0.000 0.000
Cl1 Cl 0.048 0.318 0.857
Cl2 Cl 0.122 0.403 0.524
Cl3 Cl 0.139 0.730 0.869
Cl4 Cl 0.191 0.048 0.730
Cl5 Cl 0.270 0.139 0.408
Cl6 Cl 0.318 0.461 0.270
Cl7 Cl 0.403 0.878 0.281
Cl8 Cl 0.461 0.191 0.143
Cl9 Cl 0.500 0.500 0.000
Cl10 Cl 0.539 0.809 0.857
Cl11 Cl 0.597 0.122 0.719
Cl12 Cl 0.682 0.539 0.730
Cl13 Cl 0.730 0.861 0.592
Cl14 Cl 0.809 0.952 0.270
Cl15 Cl 0.861 0.270 0.131
Cl16 Cl 0.878 0.597 0.476
Cl17 Cl 0.952 0.682 0.143
```